# Ba3B3Pb2ClO9
Theoretical PXRD pattern, a wavelength of 1.5418 Å. Input: a crystal structure in Alexandria, relaxed with PBE.
Peak positions follow from Bragg's law for the DFT cell and can differ from measured ones.

The 6 most intense peaks (10 to 90 degrees two-theta), in order of rising 2θ:
h k l	Position (°2θ)	Rel. int.
1 3 1	22.9	83.5
3 1 0	25.9	75.1
2 0 2	27.9	100.0
1 3 2	30.1	94.5
2 4 1	31.7	97.7
0 8 0	49.9	69.8

Structure:
```
data_Ba3B3Pb2ClO9
_symmetry_space_group_name_H-M 'C 2 2 21'
_symmetry_Int_Tables_number 20
_cell_length_a 10.6172
_cell_length_b 14.6386
_cell_length_c 8.0176
_cell_angle_alpha 90.00
_cell_angle_beta 90.00
_cell_angle_gamma 90.00
loop_
_symmetry_equiv_pos_as_xyz
'x,y,z'
'-x,-y,z+1/2'
'x,-y,-z'
'-x,y,-z+1/2'
'x+1/2,y+1/2,z'
'-x+1/2,-y+1/2,z+1/2'
'x+1/2,-y+1/2,-z'
'-x+1/2,y+1/2,-z+1/2'
loop_
_atom_site_label
_atom_site_fract_x
_atom_site_fract_y
_atom_site_fract_z
Ba1 0.0000 0.1424 0.2500
Ba2 0.0000 0.1522 0.7500
Ba3 0.2342 0.5000 0.0000
B1 0.1246 0.0000 0.0000
B2 0.2097 0.2840 0.9571
Pb1 0.1468 0.3791 0.5769
Cl1 0.0000 0.4449 0.2500
O1 0.0063 0.0000 0.5000
O2 0.1322 0.3381 0.8572
O3 0.1639 0.1996 0.0103
O4 0.1711 0.1867 0.5034
O5 0.1888 0.0093 0.1519
```